Starting from a DFT-relaxed cell (GGA+U, Alexandria), the XRD peak list of RbFeF4 was simulated for Cu Kα X-rays.
No peak broadening, texture or thermal motion is included.

Structural model:
Cell: 5.453 5.453 6.563 Å, 90.00 90.00 90.00°
Space group P4/mbm (No. 127)
Asymmetric unit:
Rb (0.000, 0.500, 0.000) (multiplicity 2)
Fe (0.000, 0.000, 0.500) (multiplicity 2)
F (0.000, 0.000, 0.209) (multiplicity 4)
F (0.189, 0.311, 0.500) (multiplicity 4)

Most intense lines, 15° ≤ 2θ ≤ 90°, sorted by position:
hkl 1 1 1, 2θ 26.82, I 100
hkl 0 0 2, 2θ 27.18, I 33
hkl 2 0 0, 2θ 32.85, I 43
hkl 2 0 1, 2θ 35.66, I 12
hkl 1 1 2, 2θ 35.94, I 12
hkl 2 2 0, 2θ 47.14, I 25
hkl 1 1 3, 2θ 47.80, I 32
hkl 3 1 1, 2θ 55.06, I 33
hkl 2 2 2, 2θ 55.26, I 13
hkl 3 1 3, 2θ 69.40, I 23